# 1
Structure and computed PXRD pattern of TiBC (a structure optimized by DFT (PBE); Cu Kα, 1.54184 Å).
Kinematic intensities with the Lorentz-polarization factor, no thermal factor.

Peak list (10 most intense, 10 to 90 degrees two-theta, by angle)
h k l, 2θ (°), d_spacing, I (rel.)
0 0 2, 25.22, 3.531, 20.1
1 0 0, 36.67, 2.450, 44.0
1 0 2, 45.03, 2.013, 100.0
0 0 4, 51.79, 1.765, 13.7
1 0 4, 65.13, 1.432, 14.9
1 1 0, 66.04, 1.415, 18.0
1 1 2, 71.89, 1.313, 6.9
2 0 0, 77.98, 1.225, 4.2
2 0 2, 83.52, 1.158, 13.6
1 1 4, 88.58, 1.104, 15.6

Structural model:
```
TiBC
1.0
2.830 0.000 0.000
-1.415 2.450 0.000
0.000 0.000 7.061
Ti B C
2 2 2
direct
0.000 0.000 0.000
0.000 0.000 0.500
0.333 0.667 0.250
0.667 0.333 0.750
0.333 0.667 0.750
0.667 0.333 0.250
```


# 2
Structure and computed PXRD pattern of U4B3C5 (a structure optimized by DFT (PBE); Cu Kα, 1.54184 Å).
Kinematic intensities with the Lorentz-polarization factor, no thermal factor.

Peak list (10 most intense, 10 to 90 degrees two-theta, by angle)
h k l, 2θ (°), d_spacing, I (rel.)
0 1 1, 25.49, 3.494, 66.8
0 0 4, 30.19, 2.961, 59.2
1 0 2, 31.57, 2.834, 100.0
0 1 3, 33.40, 2.683, 68.6
1 1 1, 37.95, 2.371, 92.4
1 1 3, 43.88, 2.063, 29.7
1 1 5, 54.18, 1.693, 44.1
1 0 6, 54.49, 1.684, 22.2
1 2 2, 60.24, 1.536, 51.6
2 1 3, 67.75, 1.383, 19.3

Structural model:
```
U4B3C5
1.0
3.228 0.000 0.000
0.000 3.657 0.000
0.000 0.000 11.842
U B C
4 3 5
direct
0.000 0.000 0.000
0.000 0.500 0.494
0.500 0.000 0.722
0.500 0.500 0.225
0.000 0.500 0.826
0.500 0.000 0.391
0.500 0.500 0.895
0.000 0.000 0.200
0.000 0.000 0.325
0.000 0.500 0.692
0.500 0.000 0.523
0.500 0.500 0.029
```


# 3
Structure and computed PXRD pattern of VBC (a structure optimized by DFT (PBE); Cu Kα, 1.54184 Å).
Kinematic intensities with the Lorentz-polarization factor, no thermal factor.

Peak list (10 most intense, 10 to 90 degrees two-theta, by angle)
h k l, 2θ (°), d_spacing, I (rel.)
0 0 2, 25.77, 3.458, 22.6
1 0 0, 37.40, 2.405, 46.5
1 0 2, 45.97, 1.974, 100.0
0 0 4, 52.97, 1.729, 13.4
1 0 4, 66.63, 1.404, 15.4
1 1 0, 67.46, 1.388, 17.7
1 1 2, 73.51, 1.288, 7.5
2 0 0, 79.76, 1.202, 4.4
0 0 6, 83.96, 1.153, 0.8
2 0 2, 85.51, 1.136, 13.7

Structural model:
```
VBC
1.0
2.777 0.000 0.000
-1.388 2.405 0.000
0.000 0.000 6.915
V B C
2 2 2
direct
0.000 0.000 0.000
0.000 0.000 0.500
0.333 0.667 0.250
0.667 0.333 0.750
0.333 0.667 0.750
0.667 0.333 0.250
```


# 4
Structure and computed PXRD pattern of YB2C2 (a structure optimized by DFT (PBE); Cu Kα, 1.54184 Å).
Kinematic intensities with the Lorentz-polarization factor, no thermal factor.

Peak list (10 most intense, 10 to 90 degrees two-theta, by angle)
h k l, 2θ (°), d_spacing, I (rel.)
1 1 0, 23.50, 3.785, 73.8
2 0 0, 33.48, 2.676, 31.1
1 1 1, 34.45, 2.604, 100.0
2 0 1, 42.13, 2.145, 54.2
2 2 0, 48.08, 1.892, 15.9
3 1 0, 54.19, 1.693, 28.3
2 2 1, 54.85, 1.674, 17.9
1 1 2, 56.80, 1.621, 13.7
3 1 1, 60.48, 1.531, 19.5
3 1 2, 77.55, 1.231, 18.6

Structural model:
```
YB2C2
1.0
5.353 0.000 0.000
0.000 5.353 0.000
0.000 0.000 3.587
Y B C
2 4 4
direct
0.000 0.000 0.000
0.500 0.500 0.000
0.137 0.363 0.500
0.363 0.863 0.500
0.637 0.137 0.500
0.863 0.637 0.500
0.162 0.662 0.500
0.338 0.162 0.500
0.662 0.838 0.500
0.838 0.338 0.500
```


# 5
Structure and computed PXRD pattern of YBC (a structure optimized by DFT (PBE); Cu Kα, 1.54184 Å).
Kinematic intensities with the Lorentz-polarization factor, no thermal factor.

Peak list (10 most intense, 10 to 90 degrees two-theta, by angle)
h k l, 2θ (°), d_spacing, I (rel.)
0 0 2, 21.94, 4.051, 42.6
1 0 0, 34.22, 2.620, 55.9
1 0 2, 41.03, 2.200, 100.0
0 0 4, 44.75, 2.025, 15.1
1 0 4, 57.51, 1.602, 25.2
1 1 0, 61.28, 1.513, 16.7
1 1 2, 65.91, 1.417, 13.8
2 0 2, 76.41, 1.246, 14.7
1 1 4, 79.00, 1.212, 15.5
1 0 6, 79.93, 1.200, 13.0

Structural model:
```
YBC
1.0
3.025 0.000 0.000
-1.513 2.620 0.000
0.000 0.000 8.102
Y B C
2 2 2
direct
0.000 0.000 0.000
0.000 0.000 0.500
0.333 0.667 0.250
0.667 0.333 0.750
0.333 0.667 0.750
0.667 0.333 0.250
```